(1)
For BiPd4Pb2, a structure optimized by DFT (PBE) gives the simulated powder X-ray diffraction pattern in this record (CuKα).
Peak positions follow from Bragg's law for the DFT cell and can differ from measured ones.

Principal peaks in the range 10 to 80 degrees two-theta, sorted by position:
hkl	Position (°2θ)	d [Å]	I_rel
2 1 2	29.37	3.041	75
2 2 2	34.14	2.626	100
1 3 0	38.02	2.367	72
2 -1 1	38.56	2.335	60
2 0 3	38.69	2.327	48
3 2 1	39.43	2.286	53

Structure:
```
data_BiPd4Pb2
_chemical_formula_sum 'Bi2 Pd8 Pb4'
_space_group_name_H-M_alt 'P 1'
_space_group_IT_number 1
_cell_length_a 7.0044
_cell_length_b 7.1898
_cell_length_c 7.5707
_cell_angle_alpha 87.28
_cell_angle_beta 65.37
_cell_angle_gamma 61.20
loop_
_space_group_symop_operation_xyz
'x,y,z'
loop_
_atom_site_label
_atom_site_fract_x
_atom_site_fract_y
_atom_site_fract_z
Bi1 0.0000 0.0000 0.0000
Bi2 0.4391 0.4716 0.9657
Pd1 0.1551 0.2838 0.0833
Pd2 0.3750 0.0149 0.6897
Pd3 0.3823 0.8504 0.1220
Pd4 0.4195 0.3925 0.6302
Pd5 0.6462 0.4220 0.2319
Pd6 0.6932 0.9980 0.8336
Pd7 0.8284 0.0014 0.4050
Pd8 0.9106 0.2536 0.6271
Pb1 0.2024 0.7857 0.5171
Pb2 0.3952 0.1620 0.3327
Pb3 0.7960 0.6142 0.4379
Pb4 0.9061 0.5549 0.8736
```



(2)
For Li2Ca2PrPb2, a structure optimized by DFT (PBE) gives the simulated powder X-ray diffraction pattern in this record (CuKα).
Peak positions follow from Bragg's law for the DFT cell and can differ from measured ones.

Principal peaks in the range 10 to 80 degrees two-theta, sorted by position:
hkl	Position (°2θ)	d [Å]	I_rel
0 1 2	21.68	4.099	47
1 0 4	24.33	3.658	100
1 0 7	30.52	2.929	56
0 1 8	32.98	2.716	77
1 1 0	36.30	2.475	80
1 1 15	62.18	1.493	29

Structure:
```
data_Li2Ca2PrPb2
_chemical_formula_sum 'Li6 Ca6 Pr3 Pb6'
_space_group_name_H-M_alt 'R -3 m'
_space_group_IT_number 166
_space_group_name_Hall '-R 3 2"'
_cell_length_a 4.9490
_cell_length_b 4.9490
_cell_length_c 28.0807
_cell_angle_alpha 90.00
_cell_angle_beta 90.00
_cell_angle_gamma 120.00
loop_
_atom_site_label
_atom_site_fract_x
_atom_site_fract_y
_atom_site_fract_z
Li1 0.0000 0.0000 0.0973
Ca1 0.0000 0.0000 0.3707
Pr1 0.0000 0.0000 0.5000
Pb1 0.0000 0.0000 0.2375
```



(3)
For Fe2Ag2Cl7, a structure optimized by DFT (PBE) gives the simulated powder X-ray diffraction pattern in this record (CuKα).
Peak positions follow from Bragg's law for the DFT cell and can differ from measured ones.

Principal peaks in the range 10 to 80 degrees two-theta, sorted by position:
hkl	Position (°2θ)	d [Å]	I_rel
0 2 0	13.83	6.404	35
1 1 1	20.78	4.275	80
1 2 -1	21.49	4.136	100
0 1 2	24.25	3.670	32
1 4 -1	32.48	2.757	37
2 5 -1	45.55	1.991	33

Structure:
```
data_Fe2Ag2Cl7
_chemical_formula_sum 'Fe4 Ag4 Cl14'
_space_group_name_H-M_alt 'P 1 21/c 1'
_space_group_IT_number 14
_cell_length_a 6.5184
_cell_length_b 12.8068
_cell_length_c 7.7857
_cell_angle_alpha 90.00
_cell_angle_beta 100.29
_cell_angle_gamma 90.00
loop_
_space_group_symop_operation_xyz
'x,y,z'
'-x,-y,-z'
'-x,y+1/2,-z+1/2'
'x,-y+1/2,z+1/2'
loop_
_atom_site_label
_atom_site_fract_x
_atom_site_fract_y
_atom_site_fract_z
Fe1 0.1592 0.1059 0.3263
Ag1 0.3471 0.6859 0.6526
Cl1 0.0000 0.0000 0.5000
Cl2 0.0825 0.7152 0.3148
Cl3 0.3034 0.0127 0.1387
Cl4 0.4092 0.1987 0.5004
```



(4)
For Ac2Rh7Pb12, a structure optimized by DFT (PBE) gives the simulated powder X-ray diffraction pattern in this record (CuKα).
Peak positions follow from Bragg's law for the DFT cell and can differ from measured ones.

Principal peaks in the range 10 to 80 degrees two-theta, sorted by position:
hkl	Position (°2θ)	d [Å]	I_rel
1 2 1	31.21	2.866	100
4 0 0	35.60	2.522	11
3 1 1	38.26	2.352	19
4 1 0	41.00	2.201	25
0 0 2	41.57	2.172	20
4 1 2	59.82	1.546	16

Structure:
```
data_Ac2Rh7Pb12
_chemical_formula_sum 'Ac2 Rh7 Pb12'
_space_group_name_H-M_alt 'P -6'
_space_group_IT_number 174
_cell_length_a 11.6477
_cell_length_b 11.6477
_cell_length_c 4.3445
_cell_angle_alpha 90.00
_cell_angle_beta 90.00
_cell_angle_gamma 120.00
loop_
_space_group_symop_operation_xyz
'x,y,z'
'-x+y,-x,-z'
'-y,x-y,z'
'x,y,-z'
'-x+y,-x,z'
'-y,x-y,-z'
loop_
_atom_site_label
_atom_site_fract_x
_atom_site_fract_y
_atom_site_fract_z
Ac1 0.0000 0.0000 0.0000
Ac2 0.3333 0.6667 0.5000
Rh1 0.0845 0.6332 0.0000
Rh2 0.2536 0.0441 0.5000
Rh3 0.6667 0.3333 0.0000
Pb1 0.0579 0.7786 0.5000
Pb2 0.1024 0.4014 0.0000
Pb3 0.3873 0.2137 0.0000
Pb4 0.5398 0.1131 0.5000
```